For Li2Cr2O7, DFT lattice parameters and positions (PBE+U) gives the theoretical powder diffractogram in this record (λ = 1.5418 Å (Cu Kα)).
Kinematic intensities with the Lorentz-polarization factor, no thermal factor.

Top 10 peaks for 10 to 90 degrees two-theta, in order of falling intensity:
| two_theta | I (rel.) | hkl |
| --- | --- | --- |
| 21.7 | 100 | 1 1 1 |
| 21.1 | 80 | 1 1 -2 |
| 25.4 | 67 | 1 1 -3 |
| 18.9 | 61 | 1 1 0 |
| 28.8 | 38 | 0 0 4 |
| 26.9 | 38 | 0 2 1 |
| 34.8 | 37 | 1 2 2 |
| 30.9 | 36 | 2 1 0 |
| 34.1 | 26 | 1 2 -3 |
| 33.9 | 24 | 0 2 3 |

Atomic structure:
abc: 6.7107 6.8750 12.9858
angles: 90.00 107.57 90.00
Space group P2_1/c (No. 14)
Inequivalent atoms, fractional coordinates:
Li1 0.0471 0.1092 0.3861
Li2 0.2996 0.1744 0.1558
Cr1 0.1967 0.5717 0.3836
Cr2 0.3911 0.6730 0.0908
O1 0.0127 0.2079 0.1596
O2 0.1455 0.1207 0.9460
O3 0.2209 0.0085 0.5571
O4 0.2735 0.5071 0.2821
O5 0.3026 0.6631 0.6562
O6 0.3762 0.0977 0.3396
O7 0.4061 0.7124 0.4702